This entry pairs a crystal structure of Y6C2Se2S with its simulated powder diffraction line list. Radiation: CuKα. Structure: a GGA-PBE-relaxed structure.
Kinematic intensities with the Lorentz-polarization factor, no thermal factor.

Principal peaks in the range 5° ≤ 2θ ≤ 70°, low angle first:
- d 3.257, I 195
- d 3.137, I 126
- d 3.114, I 272
- d 2.746, I 1000
- d 2.703, I 494
- d 2.507, I 123
- d 1.981, I 157
- d 1.953, I 301
- d 1.905, I 166
- d 1.900, I 322
- d 1.628, I 114
- d 1.557, I 180

Crystal structure
```
data_Y6C2Se2S
_space_group_name_H-M_alt 'C 1 2/m 1'
_space_group_IT_number 12
_cell_length_a 6.579
_cell_length_b 11.427
_cell_length_c 6.832
_cell_angle_alpha 90.00
_cell_angle_beta 107.54
_cell_angle_gamma 90.00
loop_
_space_group_symop_operation_xyz
'x,y,z'
'-x,-y,-z'
'-x,y,-z'
'x,-y,z'
'x+1/2,y+1/2,z'
'-x+1/2,-y+1/2,-z'
'-x+1/2,y+1/2,-z'
'x+1/2,-y+1/2,z'
loop_
_atom_site_label
_atom_site_type_symbol
_atom_site_fract_x
_atom_site_fract_y
_atom_site_fract_z
Y1 Y 0.204 0.000 0.214
Y2 Y 0.246 0.322 0.213
C1 C 0.000 0.170 0.000
Se1 Se 0.000 0.342 0.500
S1 S 0.000 0.500 0.000
```